Structure and computed X-ray powder pattern of PrNdGa2Pd4 (a structure optimized by DFT (PBE); copper Kα).
Peak positions follow from Bragg's law for the DFT cell and can differ from measured ones.

```
data_PrNdGa2Pd4
_chemical_formula_sum 'Pr1 Nd1 Ga2 Pd4'
_cell_length_a 4.4675
_cell_length_b 4.4675
_cell_length_c 9.3935
_cell_angle_alpha 90.00
_cell_angle_beta 90.00
_cell_angle_gamma 120.00
_space_group_name_H-M_alt 'P -6 m 2'
_space_group_IT_number 187
_space_group_name_Hall 'P -6 2'
loop_
_atom_site_label
_atom_site_fract_x
_atom_site_fract_y
_atom_site_fract_z
_atom_site_occupancy
Pr1 0.0000 0.0000 0.0000 1
Nd1 0.6667 0.3333 0.5000 1
Ga1 0.3333 0.6667 0.2510 1
Pd1 0.0000 0.0000 0.3267 1
Pd2 0.6667 0.3333 0.1762 1
```

Principal peaks in the range 2θ = 10–90°, by angle:
two_theta  d_spacing  I/Imax  h k l
23.0  3.869  21  1 0 0
36.9  2.434  100  1 0 3
40.4  2.234  76  1 1 0
55.9  1.646  30  2 0 3
71.2  1.325  29  2 1 3
73.4  1.290  13  3 0 0

Structure and computed X-ray powder pattern of Pm4DyTe5 (a structure optimized by DFT (PBE); copper Kα).
Peak positions follow from Bragg's law for the DFT cell and can differ from measured ones.

```
data_Pm4DyTe5
_chemical_formula_sum 'Pm8 Dy2 Te10'
_cell_length_a 4.4182
_cell_length_b 4.4182
_cell_length_c 31.7444
_cell_angle_alpha 90.00
_cell_angle_beta 90.00
_cell_angle_gamma 90.00
_space_group_name_H-M_alt 'I 4/m m m'
_space_group_IT_number 139
_space_group_name_Hall '-I 4 2'
loop_
_atom_site_label
_atom_site_fract_x
_atom_site_fract_y
_atom_site_fract_z
_atom_site_occupancy
Pm1 0.0000 0.0000 0.1040 1
Pm2 0.0000 0.0000 0.3073 1
Dy1 0.0000 0.0000 0.5000 1
Te1 0.0000 0.0000 0.0000 1
Te2 0.0000 0.0000 0.2043 1
Te3 0.0000 0.0000 0.4048 1
```

Principal peaks in the range 2θ = 10–90°, by angle:
two_theta  d_spacing  I/Imax  h k l
28.1  3.174  48  0 0 10
28.6  3.124  100  1 1 0
40.5  2.227  71  1 1 10
40.8  2.209  38  2 0 0
50.3  1.813  38  2 0 10
74.1  1.279  24  3 1 10

Structure and computed X-ray powder pattern of NdDyCu2 (a structure optimized by DFT (PBE); copper Kα).
Peak positions follow from Bragg's law for the DFT cell and can differ from measured ones.

```
data_NdDyCu2
_chemical_formula_sum 'Nd2 Dy2 Cu4'
_cell_length_a 4.5061
_cell_length_b 5.4269
_cell_length_c 7.1515
_cell_angle_alpha 90.00
_cell_angle_beta 90.00
_cell_angle_gamma 90.00
_space_group_name_H-M_alt 'P m c 21'
_space_group_IT_number 26
loop_
_space_group_symop_operation_xyz
'x,y,z'
'-x,-y,z+1/2'
'-x,y,z'
'x,-y,z+1/2'
loop_
_atom_site_label
_atom_site_fract_x
_atom_site_fract_y
_atom_site_fract_z
_atom_site_occupancy
Nd1 0.0000 0.1188 0.0000 1
Dy1 0.5000 0.3844 0.3607 1
Cu1 0.0000 0.3796 0.6437 1
Cu2 0.5000 0.1316 0.7100 1
```

Principal peaks in the range 2θ = 10–90°, by angle:
two_theta  d_spacing  I/Imax  h k l
28.6  3.120  86  1 1 1
32.0  2.801  100  1 0 2
35.4  2.537  83  0 2 1
36.1  2.489  94  1 1 2
40.0  2.253  63  2 0 0
40.8  2.211  85  1 2 1

Structure and computed X-ray powder pattern of MgAg (a structure optimized by DFT (PBE); copper Kα).
Peak positions follow from Bragg's law for the DFT cell and can differ from measured ones.

```
data_MgAg
_chemical_formula_sum 'Mg4 Ag4'
_cell_length_a 5.9520
_cell_length_b 5.9520
_cell_length_c 4.8284
_cell_angle_alpha 90.00
_cell_angle_beta 90.00
_cell_angle_gamma 120.00
_space_group_name_H-M_alt 'P -6 m 2'
_space_group_IT_number 187
_space_group_name_Hall 'P -6 2'
loop_
_atom_site_label
_atom_site_fract_x
_atom_site_fract_y
_atom_site_fract_z
_atom_site_occupancy
Mg1 0.0000 0.0000 0.0000 1
Mg2 0.1681 0.3363 0.5000 1
Ag1 0.0016 0.5008 0.0000 1
Ag2 0.6667 0.3333 0.5000 1
```

Principal peaks in the range 2θ = 10–90°, by angle:
two_theta  d_spacing  I/Imax  h k l
17.2  5.155  39  1 0 0
34.8  2.577  30  2 0 0
37.2  2.414  26  0 0 2
39.6  2.274  100  2 0 1
51.9  1.762  18  2 0 2
68.8  1.365  18  2 0 3

Structure and computed X-ray powder pattern of TbDy3C2Se2 (a structure optimized by DFT (PBE); copper Kα).
Peak positions follow from Bragg's law for the DFT cell and can differ from measured ones.

```
data_TbDy3C2Se2
_chemical_formula_sum 'Tb1 Dy3 C2 Se2'
_cell_length_a 3.7648
_cell_length_b 3.7648
_cell_length_c 13.3133
_cell_angle_alpha 90.00
_cell_angle_beta 90.00
_cell_angle_gamma 120.00
_space_group_name_H-M_alt 'P 3 m 1'
_space_group_IT_number 156
loop_
_space_group_symop_operation_xyz
'x,y,z'
'-y,x-y,z'
'-x+y,-x,z'
'-y,-x,z'
'-x+y,y,z'
'x,x-y,z'
loop_
_atom_site_label
_atom_site_fract_x
_atom_site_fract_y
_atom_site_fract_z
_atom_site_occupancy
Tb1 0.0000 0.0000 0.0000 1
Dy1 0.0000 0.0000 0.2994 1
Dy2 0.3333 0.6667 0.4999 1
Dy3 0.3333 0.6667 0.7993 1
C1 0.6667 0.3333 0.3997 1
C2 0.6667 0.3333 0.8995 1
Se1 0.0000 0.0000 0.6497 1
Se2 0.3333 0.6667 0.1499 1
```

Principal peaks in the range 2θ = 10–90°, by angle:
two_theta  d_spacing  I/Imax  h k l
27.4  3.260  29  1 0 0
34.1  2.628  100  1 0 3
48.4  1.882  28  1 1 0
60.5  1.530  19  2 0 3
65.0  1.435  15  1 1 6
81.0  1.187  17  2 1 3

Structure and computed X-ray powder pattern of BaP2Pd2O8 (a structure optimized by DFT (PBE); copper Kα).
Peak positions follow from Bragg's law for the DFT cell and can differ from measured ones.

```
data_BaP2Pd2O8
_chemical_formula_sum 'Ba3 P6 Pd6 O24'
_cell_length_a 4.9618
_cell_length_b 4.9618
_cell_length_c 22.9932
_cell_angle_alpha 90.00
_cell_angle_beta 90.00
_cell_angle_gamma 120.00
_space_group_name_H-M_alt 'R -3'
_space_group_IT_number 148
_space_group_name_Hall '-R 3'
loop_
_atom_site_label
_atom_site_fract_x
_atom_site_fract_y
_atom_site_fract_z
_atom_site_occupancy
Ba1 0.0000 0.0000 0.0000 1
P1 0.0000 0.0000 0.4183 1
Pd1 0.0000 0.0000 0.1721 1
O1 0.0000 0.0000 0.3522 1
O2 0.0162 0.3073 0.5602 1
```

Principal peaks in the range 2θ = 10–90°, by angle:
two_theta  d_spacing  I/Imax  h k l
21.0  4.224  41  1 0 1
28.4  3.140  100  0 1 5
34.4  2.610  30  1 0 7
36.2  2.481  77  1 1 0
43.5  2.083  68  2 -1 6
61.1  1.516  34  1 1 12

Structure and computed X-ray powder pattern of Nd2SiAu (a structure optimized by DFT (PBE); copper Kα).
Peak positions follow from Bragg's law for the DFT cell and can differ from measured ones.

```
data_Nd2SiAu
_chemical_formula_sum 'Nd4 Si2 Au2'
_cell_length_a 4.3822
_cell_length_b 7.8352
_cell_length_c 5.9897
_cell_angle_alpha 90.00
_cell_angle_beta 90.00
_cell_angle_gamma 90.00
_space_group_name_H-M_alt 'P m n 21'
_space_group_IT_number 31
loop_
_space_group_symop_operation_xyz
'x,y,z'
'-x+1/2,-y,z+1/2'
'-x,y,z'
'x+1/2,-y,z+1/2'
loop_
_atom_site_label
_atom_site_fract_x
_atom_site_fract_y
_atom_site_fract_z
_atom_site_occupancy
Nd1 0.0000 0.0706 0.0000 1
Nd2 0.0000 0.5786 0.2287 1
Si1 0.0000 0.7021 0.7177 1
Au1 0.0000 0.2100 0.4893 1
```

Principal peaks in the range 2θ = 10–90°, by angle:
two_theta  d_spacing  I/Imax  h k l
18.6  4.759  43  0 1 1
30.6  2.921  88  1 2 0
32.0  2.797  65  0 1 2
34.2  2.625  97  1 2 1
38.2  2.358  100  1 1 2
41.2  2.191  44  2 0 0

Structure and computed X-ray powder pattern of Ho2CdSb2 (a structure optimized by DFT (PBE); copper Kα).
Peak positions follow from Bragg's law for the DFT cell and can differ from measured ones.

```
data_Ho2CdSb2
_chemical_formula_sum 'Ho8 Cd4 Sb8'
_cell_length_a 6.5969
_cell_length_b 4.3852
_cell_length_c 18.6294
_cell_angle_alpha 90.00
_cell_angle_beta 90.00
_cell_angle_gamma 90.00
_space_group_name_H-M_alt 'P n m a'
_space_group_IT_number 62
loop_
_space_group_symop_operation_xyz
'x,y,z'
'-x,-y,-z'
'-x+1/2,-y,z+1/2'
'x+1/2,y,-z+1/2'
'x+1/2,-y+1/2,-z+1/2'
'-x+1/2,y+1/2,z+1/2'
'-x,y+1/2,-z'
'x,-y+1/2,z'
loop_
_atom_site_label
_atom_site_fract_x
_atom_site_fract_y
_atom_site_fract_z
_atom_site_occupancy
Ho1 0.0592 0.2500 0.2315 1
Ho2 0.2127 0.2500 0.4464 1
Cd1 0.1510 0.2500 0.6502 1
Sb1 0.2050 0.2500 0.0614 1
Sb2 0.2137 0.2500 0.8340 1
```

Principal peaks in the range 2θ = 10–90°, by angle:
two_theta  d_spacing  I/Imax  h k l
28.7  3.109  19  2 0 2
31.5  2.839  100  0 1 5
34.0  2.636  34  2 1 0
36.4  2.469  29  2 0 5
37.0  2.426  32  2 1 3
41.2  2.193  30  0 2 0